For NaCaTbSeO6, a cell relaxed with GGA-PBE gives the simulated PXRD pattern in this record (Cu Kα, 1.54184 Å).
Kinematic intensities with the Lorentz-polarization factor, no thermal factor.

Structural model:
a = 8.0158 Å, b = 8.0158 Å, c = 8.0158 Å
α = 90.00°, β = 90.00°, γ = 90.00°
Space group F-43m (No. 216)
Inequivalent atoms, fractional coordinates:
Na: 0.0000 0.0000 0.0000
Ca: 0.0000 0.0000 0.5000
Tb: 0.2500 0.2500 0.2500
Se: 0.2500 0.2500 0.7500
O: 0.0240 0.2500 0.7500

Principal peaks in the range 10 to 80 degrees two-theta, by intensity:
31.57 deg, I 100
22.18 deg, I 70
56.22 deg, I 38
45.25 deg, I 37
50.95 deg, I 27
65.92 deg, I 21
74.93 deg, I 18
70.49 deg, I 13
37.20 deg, I 12
19.18 deg, I 12